Calculated XRD peak list
Compound: HoGa5Cu7
Radiation: Cu Kα X-rays
Structure: the PBE geometry in Alexandria

Crystal structure
```
data_HoGa5Cu7
_symmetry_space_group_name_H-M 'I m m 2'
_symmetry_Int_Tables_number 44
_cell_length_a 5.175
_cell_length_b 8.702
_cell_length_c 8.467
_cell_angle_alpha 90.00
_cell_angle_beta 90.00
_cell_angle_gamma 90.00
loop_
_symmetry_equiv_pos_as_xyz
'x,y,z'
'-x,-y,z'
'-x,y,z'
'x,-y,z'
'x+1/2,y+1/2,z+1/2'
'-x+1/2,-y+1/2,z+1/2'
'-x+1/2,y+1/2,z+1/2'
'x+1/2,-y+1/2,z+1/2'
loop_
_atom_site_label
_atom_site_fract_x
_atom_site_fract_y
_atom_site_fract_z
_atom_site_occupancy
Ho1 0.000 0.000 0.000 1
Ga1 0.000 0.500 0.283 1
Ga2 0.248 0.260 0.748 1
Cu1 0.000 0.000 0.354 1
Cu2 0.000 0.000 0.652 1
Cu3 0.000 0.282 0.497 1
Cu4 0.000 0.353 0.002 1
Cu5 0.000 0.500 0.713 1
```

Main lines, in order of falling intensity (10 to 90 degrees two-theta):
index	2θ (°)	I/Imax
0 4 0	41.56	100.0
1 2 3	41.96	64.7
2 2 0	40.57	52.3
2 0 2	40.88	50.0
2 2 2	46.11	46.7
0 0 4	42.72	34.8



Calculated XRD peak list
Compound: BaNaSnHg
Radiation: Cu Kα X-rays
Structure: the PBE geometry in Alexandria

Crystal structure
```
data_BaNaSnHg
_symmetry_space_group_name_H-M 'F -4 3 m'
_symmetry_Int_Tables_number 216
_symmetry_space_group_name_Hall 'F -4 2 3'
_cell_length_a 8.056
_cell_length_b 8.056
_cell_length_c 8.056
_cell_angle_alpha 90.00
_cell_angle_beta 90.00
_cell_angle_gamma 90.00
loop_
_atom_site_label
_atom_site_fract_x
_atom_site_fract_y
_atom_site_fract_z
_atom_site_occupancy
Ba1 0.000 0.000 0.000 1
Na1 0.000 0.000 0.500 1
Sn1 0.250 0.250 0.250 1
Hg1 0.250 0.250 0.750 1
```

Main lines, in order of falling intensity (10 to 90 degrees two-theta):
index	2θ (°)	I/Imax
2 2 0	31.41	100.0
4 2 2	55.91	39.5
4 0 0	45.01	18.7
6 2 0	74.49	17.2
1 1 1	19.08	17.2
2 0 0	22.07	13.8



Calculated XRD peak list
Compound: Tb2Pm2Tm5
Radiation: Cu Kα X-rays
Structure: the PBE geometry in Alexandria

Crystal structure
```
data_Tb2Pm2Tm5
_symmetry_space_group_name_H-M 'P 1'
_symmetry_Int_Tables_number 1
_cell_length_a 7.086
_cell_length_b 9.338
_cell_length_c 10.176
_cell_angle_alpha 93.50
_cell_angle_beta 110.37
_cell_angle_gamma 112.27
loop_
_symmetry_equiv_pos_as_xyz
'x,y,z'
loop_
_atom_site_label
_atom_site_fract_x
_atom_site_fract_y
_atom_site_fract_z
_atom_site_occupancy
Tb1 0.000 0.000 0.000 1
Tb2 0.034 0.648 0.420 1
Tb3 0.819 0.288 0.847 1
Tb4 0.893 0.961 0.321 1
Pm1 0.316 0.286 0.846 1
Pm2 0.389 0.959 0.319 1
Pm3 0.506 0.004 0.003 1
Pm4 0.535 0.646 0.420 1
Tm1 0.028 0.339 0.213 1
Tm2 0.312 0.974 0.647 1
Tm3 0.343 0.622 0.062 1
Tm4 0.422 0.312 0.531 1
Tm5 0.456 0.662 0.747 1
Tm6 0.525 0.337 0.213 1
Tm7 0.810 0.973 0.645 1
Tm8 0.840 0.619 0.062 1
Tm9 0.922 0.314 0.529 1
Tm10 0.956 0.662 0.748 1
```

Main lines, in order of falling intensity (10 to 90 degrees two-theta):
index	2θ (°)	I/Imax
0 2 -3	31.84	100.0
2 -1 1	31.75	56.4
2 1 -2	33.06	55.8
0 1 3	32.94	47.5
-2 2 2	29.76	36.3
4 -4 1	61.92	22.2



Calculated XRD peak list
Compound: RbBH3
Radiation: Cu Kα X-rays
Structure: the PBE geometry in Alexandria

Crystal structure
```
data_RbBH3
_symmetry_space_group_name_H-M 'C 1 2/c 1'
_symmetry_Int_Tables_number 15
_cell_length_a 7.266
_cell_length_b 10.808
_cell_length_c 7.309
_cell_angle_alpha 90.00
_cell_angle_beta 105.32
_cell_angle_gamma 90.00
loop_
_symmetry_equiv_pos_as_xyz
'x,y,z'
'-x,-y,-z'
'-x,y,-z+1/2'
'x,-y,z+1/2'
'x+1/2,y+1/2,z'
'-x+1/2,-y+1/2,-z'
'-x+1/2,y+1/2,-z+1/2'
'x+1/2,-y+1/2,z+1/2'
loop_
_atom_site_label
_atom_site_fract_x
_atom_site_fract_y
_atom_site_fract_z
_atom_site_occupancy
Rb1 0.000 0.066 0.250 1
Rb2 0.000 0.339 0.750 1
B1 0.116 0.363 0.231 1
H1 0.145 0.451 0.131 1
H2 0.146 0.270 0.140 1
H3 0.250 0.135 0.621 1
```

Main lines, in order of falling intensity (10 to 90 degrees two-theta):
index	2θ (°)	I/Imax
0 2 1	20.71	100.0
0 0 2	25.27	82.2
2 2 1	35.56	63.5
2 0 0	25.42	63.5
2 2 -1	30.23	61.3
1 3 0	27.85	53.7



Calculated XRD peak list
Compound: Ca3Pu3IrN8
Radiation: Cu Kα X-rays
Structure: the PBE geometry in Alexandria

Crystal structure
```
data_Ca3Pu3IrN8
_symmetry_space_group_name_H-M 'R -3 m'
_symmetry_Int_Tables_number 166
_symmetry_space_group_name_Hall '-R 3 2"'
_cell_length_a 6.6882
_cell_length_b 6.6882
_cell_length_c 16.9245
_cell_angle_alpha 90.00
_cell_angle_beta 90.00
_cell_angle_gamma 120.00
loop_
_atom_site_label
_atom_site_fract_x
_atom_site_fract_y
_atom_site_fract_z
_atom_site_occupancy
Ca1 0.0000 0.5000 0.0000 1
Pu1 0.0000 0.5000 0.5000 1
Ir1 0.0000 0.0000 0.5000 1
N1 0.0000 0.0000 0.2411 1
N2 0.0059 0.5030 0.2335 1
```

Main lines, in order of falling intensity (10 to 90 degrees two-theta):
index	2θ (°)	I/Imax
0 0 3	15.71	100.0
0 2 4	37.64	72.1
2 0 2	32.68	69.6
0 2 1	31.34	53.0
0 0 6	31.72	25.9
2 0 8	53.65	24.6



Calculated XRD peak list
Compound: Tb4Ho2Mg
Radiation: Cu Kα X-rays
Structure: the PBE geometry in Alexandria

Crystal structure
```
data_Tb4Ho2Mg
_symmetry_space_group_name_H-M 'P 1 21/m 1'
_symmetry_Int_Tables_number 11
_cell_length_a 5.974
_cell_length_b 6.543
_cell_length_c 11.442
_cell_angle_alpha 90.00
_cell_angle_beta 105.13
_cell_angle_gamma 90.00
loop_
_symmetry_equiv_pos_as_xyz
'x,y,z'
'-x,-y,-z'
'-x,y+1/2,-z'
'x,-y+1/2,z'
loop_
_atom_site_label
_atom_site_fract_x
_atom_site_fract_y
_atom_site_fract_z
_atom_site_occupancy
Tb1 0.023 0.250 0.375 1
Tb2 0.151 0.250 0.941 1
Tb3 0.358 0.001 0.213 1
Ho1 0.277 0.750 0.923 1
Ho2 0.400 0.750 0.496 1
Mg1 0.149 0.250 0.665 1
```

Main lines, in order of falling intensity (10 to 90 degrees two-theta):
index	2θ (°)	I/Imax
1 0 -4	32.08	100.0
1 2 -2	33.52	68.1
0 2 2	31.79	54.1
2 1 -2	33.98	51.4
2 0 -1	29.91	35.3
2 2 1	44.21	25.1